This entry pairs a crystal structure of K2Si2O5 with its simulated powder XRD pattern. Radiation: Cu Ka. Structure: the PBE geometry in the Materials Project.
Peak positions follow from Bragg's law for the DFT cell and can differ from measured ones.

Top 12 peaks for 2θ = 5–70°, most intense first:
2theta, I_rel
31.38, 100
28.05, 52
35.97, 41
19.57, 37
23.20, 24
39.57, 15
36.42, 15
28.52, 15
28.64, 14
39.74, 12
59.25, 11
55.82, 9

```
data_K2Si2O5
_cell_length_a 10.1059
_cell_length_b 10.1059
_cell_length_c 10.1010
_cell_angle_alpha 111.38
_cell_angle_beta 111.38
_cell_angle_gamma 68.82
_space_group_name_H-M_alt 'P 1'
_space_group_IT_number 1
loop_
_space_group_symop_operation_xyz
'x,y,z'
loop_
_atom_site_label
_atom_site_fract_x
_atom_site_fract_y
_atom_site_fract_z
K1 0.0142 0.9858 0.5000
K2 0.0727 0.5408 0.9994
K3 0.1177 0.6016 0.4087
K4 0.2556 0.7817 0.2621
K5 0.3822 0.9306 0.1027
K6 0.5331 0.5789 0.4452
K7 0.5408 0.0727 0.4994
K8 0.5789 0.5331 0.9452
K9 0.6016 0.1177 0.9087
K10 0.7817 0.2556 0.7621
K11 0.9306 0.3822 0.6027
K12 0.9858 0.0142 0.0000
Si1 0.1716 0.2229 0.3536
Si2 0.1908 0.6948 0.8030
Si3 0.2229 0.1716 0.8536
Si4 0.3070 0.3425 0.6999
Si5 0.3425 0.3070 0.1999
Si6 0.3711 0.8319 0.7157
Si7 0.6948 0.1908 0.3030
Si8 0.7028 0.7300 0.3048
Si9 0.7300 0.7028 0.8048
Si10 0.8200 0.8561 0.1459
Si11 0.8319 0.3711 0.2157
Si12 0.8561 0.8200 0.6459
O1 0.0074 0.3443 0.3180
O2 0.0400 0.7808 0.6960
O3 0.0572 0.1755 0.7650
O4 0.1755 0.0572 0.2650
O5 0.1866 0.7351 0.9686
O6 0.2090 0.5174 0.7121
O7 0.2181 0.2513 0.5365
O8 0.2513 0.2181 0.0365
O9 0.2784 0.2934 0.8259
O10 0.2871 0.8009 0.5457
O11 0.2934 0.2784 0.3259
O12 0.3121 0.4785 0.2252
O13 0.3333 0.7423 0.8025
O14 0.3443 0.0074 0.8180
O15 0.4785 0.3121 0.7252
O16 0.5174 0.2090 0.2122
O17 0.5399 0.7722 0.3180
O18 0.5521 0.7748 0.7421
O19 0.6958 0.8096 0.1814
O20 0.7351 0.1866 0.4686
O21 0.7423 0.3333 0.3025
O22 0.7722 0.5399 0.8180
O23 0.7748 0.5521 0.2421
O24 0.7772 0.9827 0.7215
O25 0.7808 0.0400 0.1960
O26 0.7842 0.8232 0.9634
O27 0.8009 0.2871 0.0457
O28 0.8096 0.6958 0.6814
O29 0.8232 0.7842 0.4634
O30 0.9827 0.7772 0.2215
```